[1]
Diffraction record for BaTbTeAuSe2. The X-ray diffraction stick pattern is calculated, not measured: it uses DFT lattice parameters and positions (PBE) and a wavelength of 1.5418 Å.

Structural model:
```
data_BaTbTeAuSe2
_chemical_formula_sum 'Ba2 Tb2 Te2 Au2 Se4'
_space_group_name_H-M_alt 'P 1'
_space_group_IT_number 1
_cell_length_a 7.813
_cell_length_b 7.813
_cell_length_c 11.096
_cell_angle_alpha 90.00
_cell_angle_beta 90.00
_cell_angle_gamma 148.55
loop_
_space_group_symop_operation_xyz
'x,y,z'
loop_
_atom_site_label
_atom_site_fract_x
_atom_site_fract_y
_atom_site_fract_z
Ba1 0.225 0.775 0.750
Ba2 0.775 0.225 0.250
Tb1 0.000 0.000 0.000
Tb2 0.000 0.000 0.500
Te1 0.092 0.908 0.250
Te2 0.908 0.092 0.750
Au1 0.471 0.529 0.250
Au2 0.529 0.471 0.750
Se1 0.370 0.630 0.055
Se2 0.370 0.630 0.445
Se3 0.630 0.370 0.555
Se4 0.630 0.370 0.945
```

Most intense lines, 2θ from 5° to 70°, sorted by position:
- 11.77°, d = 7.521 Å, rel. 66
- 28.74°, d = 3.106 Å, rel. 80
- 32.02°, d = 2.795 Å, rel. 100
- 32.27°, d = 2.774 Å, rel. 40
- 36.91°, d = 2.435 Å, rel. 18
- 40.20°, d = 2.243 Å, rel. 31
- 42.70°, d = 2.118 Å, rel. 27
- 43.62°, d = 2.075 Å, rel. 18
- 49.83°, d = 1.830 Å, rel. 23
- 54.51°, d = 1.683 Å, rel. 25

[2]
Diffraction record for GdGaI. The X-ray diffraction stick pattern is calculated, not measured: it uses DFT lattice parameters and positions (PBE) and a wavelength of 1.5418 Å.

Structural model:
```
data_GdGaI
_chemical_formula_sum 'Gd2 Ga2 I2'
_space_group_name_H-M_alt 'P 1'
_space_group_IT_number 1
_cell_length_a 4.225
_cell_length_b 4.225
_cell_length_c 12.061
_cell_angle_alpha 90.00
_cell_angle_beta 90.00
_cell_angle_gamma 120.00
loop_
_space_group_symop_operation_xyz
'x,y,z'
loop_
_atom_site_label
_atom_site_fract_x
_atom_site_fract_y
_atom_site_fract_z
Gd1 0.000 0.000 0.169
Gd2 0.000 0.000 0.831
Ga1 0.333 0.667 0.973
Ga2 0.667 0.333 0.027
I1 0.333 0.667 0.336
I2 0.667 0.333 0.664
```

Most intense lines, 2θ from 5° to 70°, sorted by position:
- 7.33°, d = 12.061 Å, rel. 58
- 14.69°, d = 6.031 Å, rel. 10
- 25.44°, d = 3.501 Å, rel. 38
- 28.54°, d = 3.128 Å, rel. 49
- 33.10°, d = 2.706 Å, rel. 100
- 42.81°, d = 2.112 Å, rel. 49
- 45.05°, d = 2.013 Å, rel. 31
- 52.26°, d = 1.751 Å, rel. 9
- 55.16°, d = 1.665 Å, rel. 23
- 63.91°, d = 1.457 Å, rel. 30

[3]
Diffraction record for Nd3Al3GeIr2. The X-ray diffraction stick pattern is calculated, not measured: it uses DFT lattice parameters and positions (PBE) and a wavelength of 1.5418 Å.

Structural model:
```
data_Nd3Al3GeIr2
_chemical_formula_sum 'Nd3 Al3 Ge1 Ir2'
_space_group_name_H-M_alt 'P 1'
_space_group_IT_number 1
_cell_length_a 7.378
_cell_length_b 7.378
_cell_length_c 4.100
_cell_angle_alpha 90.00
_cell_angle_beta 90.00
_cell_angle_gamma 120.00
loop_
_space_group_symop_operation_xyz
'x,y,z'
loop_
_atom_site_label
_atom_site_fract_x
_atom_site_fract_y
_atom_site_fract_z
Nd1 0.000 0.405 0.000
Nd2 0.405 0.000 0.000
Nd3 0.595 0.595 0.000
Al1 0.000 0.731 0.500
Al2 0.269 0.269 0.500
Al3 0.731 0.000 0.500
Ge1 0.000 0.000 0.000
Ir1 0.333 0.667 0.500
Ir2 0.667 0.333 0.500
```

Most intense lines, 2θ from 5° to 70°, sorted by position:
- 13.86°, d = 6.390 Å, rel. 39
- 24.13°, d = 3.689 Å, rel. 35
- 32.65°, d = 2.742 Å, rel. 100
- 35.63°, d = 2.520 Å, rel. 70
- 37.23°, d = 2.415 Å, rel. 18
- 42.44°, d = 2.130 Å, rel. 36
- 43.49°, d = 2.081 Å, rel. 23
- 44.18°, d = 2.050 Å, rel. 20
- 62.92°, d = 1.477 Å, rel. 23
- 67.91°, d = 1.380 Å, rel. 20

What is the formula in the third record? Nd3Al3GeIr2